Structure and computed powder X-ray diffraction pattern of Ho2Tl3Cl9 (a DFT-relaxed cell (PBE, Alexandria); a wavelength of 1.5418 Å).
No peak broadening, texture or thermal motion is included.

Principal peaks in the range 10° ≤ 2θ ≤ 80°, by intensity:
Position (°2θ)	d/Å	Rel. int.
23.69	3.755	1000
31.20	2.866	896
20.01	4.438	843
40.66	2.219	397
32.56	2.750	354
25.15	3.541	255
12.50	7.081	247
48.49	1.877	230
40.12	2.247	218
39.55	2.278	198
28.71	3.110	192
53.33	1.718	185

Structural model:
Lattice parameters (Å, degrees): 9.6562 9.6562 9.6562 84.68 84.68 84.68
Element x y z (fractional)
Ho (0.1456, 0.1456, 0.1456)
Ho (0.3544, 0.3544, 0.3544)
Ho (0.6456, 0.6456, 0.6456)
Ho (0.8544, 0.8544, 0.8544)
Tl (0.0521, 0.7500, 0.4479)
Tl (0.2500, 0.5521, 0.9479)
Tl (0.4479, 0.0521, 0.7500)
Tl (0.5521, 0.9479, 0.2500)
Tl (0.7500, 0.4479, 0.0521)
Tl (0.9479, 0.2500, 0.5521)
Cl (0.0653, 0.2760, 0.9214)
Cl (0.0786, 0.9347, 0.7240)
Cl (0.0979, 0.4021, 0.2500)
Cl (0.2240, 0.4347, 0.5786)
Cl (0.2500, 0.0979, 0.4021)
Cl (0.2760, 0.9214, 0.0653)
Cl (0.4021, 0.2500, 0.0979)
Cl (0.4214, 0.7760, 0.5653)
Cl (0.4347, 0.5786, 0.2240)
Cl (0.5653, 0.4214, 0.7760)
Cl (0.5786, 0.2240, 0.4347)
Cl (0.5979, 0.7500, 0.9021)
Cl (0.7240, 0.0786, 0.9347)
Cl (0.7500, 0.9021, 0.5979)
Cl (0.7760, 0.5653, 0.4214)
Cl (0.9021, 0.5979, 0.7500)
Cl (0.9214, 0.0653, 0.2760)
Cl (0.9347, 0.7240, 0.0786)